Theoretical XRD peak list
Compound: Ac5La3Nd2
Radiation: copper Kα
Structure: a crystal structure in Alexandria, relaxed with PBE
Peak positions follow from Bragg's law for the DFT cell and can differ from measured ones.

Structural model:
```
data_Ac5La3Nd2
_cell_length_a 10.9730
_cell_length_b 10.9730
_cell_length_c 9.5293
_cell_angle_alpha 109.73
_cell_angle_beta 109.73
_cell_angle_gamma 114.37
_symmetry_space_group_name_H-M 'P 1'
_symmetry_Int_Tables_number 1
loop_
_symmetry_equiv_pos_as_xyz
'x,y,z'
loop_
_atom_site_label
_atom_site_type_symbol
_atom_site_fract_x
_atom_site_fract_y
_atom_site_fract_z
Ac1 Ac 0.0274 0.9726 0.7500
Ac2 Ac 0.1330 0.3675 0.7539
Ac3 Ac 0.2248 0.7752 0.7500
Ac4 Ac 0.2760 0.7240 0.2500
Ac5 Ac 0.3675 0.1330 0.2539
Ac6 Ac 0.6325 0.8670 0.7461
Ac7 Ac 0.7240 0.2760 0.7500
Ac8 Ac 0.7752 0.2248 0.2500
Ac9 Ac 0.8670 0.6325 0.2461
Ac10 Ac 0.9726 0.0274 0.2500
La1 La 0.0315 0.2780 0.0587
La2 La 0.2780 0.0315 0.5587
La3 La 0.4666 0.5334 0.2500
La4 La 0.5334 0.4666 0.7500
La5 La 0.7220 0.9685 0.4413
La6 La 0.9685 0.7220 0.9413
Nd1 Nd 0.2461 0.4795 0.4748
Nd2 Nd 0.4795 0.2461 0.9748
Nd3 Nd 0.5205 0.7539 0.0252
Nd4 Nd 0.7539 0.5205 0.5252
```

Top 12 peaks for 5° ≤ 2θ ≤ 70°, in order of falling intensity:
2θ 27.24, rel. 100
2θ 29.90, rel. 78
2θ 30.06, rel. 45
2θ 44.09, rel. 27
2θ 57.90, rel. 23
2θ 31.48, rel. 23
2θ 56.82, rel. 20
2θ 51.67, rel. 18
2θ 47.02, rel. 18
2θ 53.28, rel. 16
2θ 32.80, rel. 14
2θ 23.87, rel. 14


Theoretical XRD peak list
Compound: K4HgPb
Radiation: copper Kα
Structure: a crystal structure in Alexandria, relaxed with PBE
Peak positions follow from Bragg's law for the DFT cell and can differ from measured ones.

Structural model:
```
data_K4HgPb
_cell_length_a 9.8122
_cell_length_b 9.8122
_cell_length_c 6.5836
_cell_angle_alpha 100.62
_cell_angle_beta 100.62
_cell_angle_gamma 114.16
_symmetry_space_group_name_H-M 'P 1'
_symmetry_Int_Tables_number 1
loop_
_symmetry_equiv_pos_as_xyz
'x,y,z'
loop_
_atom_site_label
_atom_site_type_symbol
_atom_site_fract_x
_atom_site_fract_y
_atom_site_fract_z
K1 K 0.0568 0.6869 0.9181
K2 K 0.2438 0.3883 0.6601
K3 K 0.3131 0.9432 0.5819
K4 K 0.3883 0.2438 0.1601
K5 K 0.6117 0.7562 0.8399
K6 K 0.6869 0.0568 0.4181
K7 K 0.7562 0.6117 0.3399
K8 K 0.9432 0.3131 0.0819
Hg1 Hg 0.0015 0.9985 0.2500
Hg2 Hg 0.9985 0.0015 0.7500
Pb1 Pb 0.3689 0.6311 0.2500
Pb2 Pb 0.6311 0.3689 0.7500
```

Top 12 peaks for 5° ≤ 2θ ≤ 70°, in order of falling intensity:
2θ 28.53, rel. 100
2θ 18.42, rel. 98
2θ 17.68, rel. 72
2θ 31.32, rel. 60
2θ 10.74, rel. 57
2θ 31.70, rel. 54
2θ 15.03, rel. 36
2θ 17.92, rel. 36
2θ 26.20, rel. 34
2θ 36.08, rel. 33
2θ 28.83, rel. 31
2θ 47.77, rel. 28


Theoretical XRD peak list
Compound: TmSbO4
Radiation: copper Kα
Structure: a crystal structure in Alexandria, relaxed with PBE
Peak positions follow from Bragg's law for the DFT cell and can differ from measured ones.

Structural model:
```
data_TmSbO4
_cell_length_a 7.6185
_cell_length_b 5.3291
_cell_length_c 7.5078
_cell_angle_alpha 90.00
_cell_angle_beta 98.49
_cell_angle_gamma 90.00
_symmetry_space_group_name_H-M 'P 1'
_symmetry_Int_Tables_number 1
loop_
_symmetry_equiv_pos_as_xyz
'x,y,z'
loop_
_atom_site_label
_atom_site_type_symbol
_atom_site_fract_x
_atom_site_fract_y
_atom_site_fract_z
Tm1 Tm 0.1449 0.2262 0.3846
Tm2 Tm 0.1449 0.2738 0.8846
Tm3 Tm 0.8551 0.7262 0.1154
Tm4 Tm 0.8551 0.7738 0.6154
Sb1 Sb 0.3362 0.7325 0.1906
Sb2 Sb 0.3362 0.7675 0.6906
Sb3 Sb 0.6638 0.2325 0.3094
Sb4 Sb 0.6638 0.2675 0.8094
O1 O 0.1105 0.5262 0.1758
O2 O 0.1105 0.9738 0.6758
O3 O 0.1789 0.0180 0.1163
O4 O 0.1789 0.4820 0.6163
O5 O 0.3272 0.6113 0.9365
O6 O 0.3272 0.8887 0.4365
O7 O 0.4297 0.0955 0.8097
O8 O 0.4297 0.4045 0.3097
O9 O 0.5703 0.5955 0.6903
O10 O 0.5703 0.9045 0.1903
O11 O 0.6728 0.1113 0.5635
O12 O 0.6728 0.3887 0.0635
O13 O 0.8211 0.5180 0.3837
O14 O 0.8211 0.9820 0.8837
O15 O 0.8895 0.0262 0.3242
O16 O 0.8895 0.4738 0.8242
```

Top 12 peaks for 5° ≤ 2θ ≤ 70°, in order of falling intensity:
2θ 29.03, rel. 100
2θ 29.32, rel. 82
2θ 33.63, rel. 27
2θ 50.39, rel. 26
2θ 30.29, rel. 25
2θ 46.55, rel. 17
2θ 36.40, rel. 17
2θ 31.23, rel. 16
2θ 60.86, rel. 14
2θ 23.61, rel. 13
2θ 57.35, rel. 13
2θ 55.44, rel. 12


Theoretical XRD peak list
Compound: NdCd3Pd3
Radiation: copper Kα
Structure: a crystal structure in Alexandria, relaxed with PBE
Peak positions follow from Bragg's law for the DFT cell and can differ from measured ones.

Structural model:
```
data_NdCd3Pd3
_cell_length_a 5.8033
_cell_length_b 5.8033
_cell_length_c 5.8033
_cell_angle_alpha 110.15
_cell_angle_beta 110.15
_cell_angle_gamma 110.15
_symmetry_space_group_name_H-M 'P 1'
_symmetry_Int_Tables_number 1
loop_
_symmetry_equiv_pos_as_xyz
'x,y,z'
loop_
_atom_site_label
_atom_site_type_symbol
_atom_site_fract_x
_atom_site_fract_y
_atom_site_fract_z
Nd1 Nd 0.0000 0.0000 0.0000
Cd1 Cd 0.3901 0.3901 0.8272
Cd2 Cd 0.3901 0.8272 0.3901
Cd3 Cd 0.8272 0.3901 0.3901
Pd1 Pd 0.3900 0.8785 0.8785
Pd2 Pd 0.8785 0.3900 0.8785
Pd3 Pd 0.8785 0.8785 0.3900
```

Top 12 peaks for 5° ≤ 2θ ≤ 70°, in order of falling intensity:
2θ 37.81, rel. 100
2θ 38.86, rel. 73
2θ 32.90, rel. 38
2θ 33.78, rel. 21
2θ 55.34, rel. 20
2θ 68.98, rel. 18
2θ 58.92, rel. 14
2θ 43.43, rel. 13
2θ 68.28, rel. 12
2θ 19.15, rel. 10
2θ 58.35, rel. 9
2θ 51.60, rel. 8


Theoretical XRD peak list
Compound: AcTmUO6
Radiation: copper Kα
Structure: a crystal structure in Alexandria, relaxed with PBE
Peak positions follow from Bragg's law for the DFT cell and can differ from measured ones.

Structural model:
```
data_AcTmUO6
_cell_length_a 5.8068
_cell_length_b 5.8068
_cell_length_c 10.3393
_cell_angle_alpha 90.00
_cell_angle_beta 90.00
_cell_angle_gamma 120.00
_symmetry_space_group_name_H-M 'P 1'
_symmetry_Int_Tables_number 1
loop_
_symmetry_equiv_pos_as_xyz
'x,y,z'
loop_
_atom_site_label
_atom_site_type_symbol
_atom_site_fract_x
_atom_site_fract_y
_atom_site_fract_z
Ac1 Ac 0.0000 0.0000 0.0000
Ac2 Ac 0.0000 0.0000 0.5000
Tm1 Tm 0.3333 0.6667 0.2500
Tm2 Tm 0.6667 0.3333 0.7500
U1 U 0.3333 0.6667 0.7500
U2 U 0.6667 0.3333 0.2500
O1 O 0.0176 0.3706 0.6422
O2 O 0.0176 0.6470 0.8578
O3 O 0.3530 0.3706 0.8578
O4 O 0.3530 0.9824 0.6422
O5 O 0.3706 0.0176 0.1422
O6 O 0.3706 0.3530 0.3578
O7 O 0.6294 0.6470 0.6422
O8 O 0.6294 0.9824 0.8578
O9 O 0.6470 0.0176 0.3578
O10 O 0.6470 0.6294 0.1422
O11 O 0.9824 0.3530 0.1422
O12 O 0.9824 0.6294 0.3578
```

Top 12 peaks for 5° ≤ 2θ ≤ 70°, in order of falling intensity:
2θ 24.70, rel. 100
2θ 30.80, rel. 52
2θ 47.07, rel. 44
2θ 51.21, rel. 28
2θ 39.87, rel. 28
2θ 54.76, rel. 16
2θ 66.48, rel. 12
2θ 69.85, rel. 12
2θ 34.70, rel. 11
2θ 56.45, rel. 10
2θ 17.15, rel. 9
2θ 35.46, rel. 8


Theoretical XRD peak list
Compound: NpZnGa2Au5
Radiation: copper Kα
Structure: a crystal structure in Alexandria, relaxed with PBE
Peak positions follow from Bragg's law for the DFT cell and can differ from measured ones.

Structural model:
```
data_NpZnGa2Au5
_cell_length_a 4.9180
_cell_length_b 4.9180
_cell_length_c 7.6953
_cell_angle_alpha 90.00
_cell_angle_beta 90.00
_cell_angle_gamma 90.00
_symmetry_space_group_name_H-M 'P 1'
_symmetry_Int_Tables_number 1
loop_
_symmetry_equiv_pos_as_xyz
'x,y,z'
loop_
_atom_site_label
_atom_site_type_symbol
_atom_site_fract_x
_atom_site_fract_y
_atom_site_fract_z
Np1 Np 0.0000 0.0000 0.0000
Zn1 Zn 0.0000 0.0000 0.5000
Ga1 Ga 0.5000 0.5000 0.3433
Ga2 Ga 0.5000 0.5000 0.6567
Au1 Au 0.0000 0.5000 0.2425
Au2 Au 0.0000 0.5000 0.7575
Au3 Au 0.5000 0.0000 0.2425
Au4 Au 0.5000 0.0000 0.7575
Au5 Au 0.5000 0.5000 0.0000
```

Top 12 peaks for 5° ≤ 2θ ≤ 70°, in order of falling intensity:
2θ 34.77, rel. 100
2θ 36.54, rel. 60
2θ 64.64, rel. 34
2θ 52.64, rel. 21
2θ 11.50, rel. 20
2θ 61.17, rel. 18
2θ 43.86, rel. 13
2θ 47.25, rel. 10
2θ 28.16, rel. 6
2θ 23.12, rel. 5
2θ 38.43, rel. 5
2θ 43.69, rel. 4


Theoretical XRD peak list
Compound: Ce6TlIn2
Radiation: copper Kα
Structure: a crystal structure in Alexandria, relaxed with PBE
Peak positions follow from Bragg's law for the DFT cell and can differ from measured ones.

Structural model:
```
data_Ce6TlIn2
_cell_length_a 9.1026
_cell_length_b 9.1026
_cell_length_c 3.1157
_cell_angle_alpha 90.00
_cell_angle_beta 90.00
_cell_angle_gamma 117.58
_symmetry_space_group_name_H-M 'P 1'
_symmetry_Int_Tables_number 1
loop_
_symmetry_equiv_pos_as_xyz
'x,y,z'
loop_
_atom_site_label
_atom_site_type_symbol
_atom_site_fract_x
_atom_site_fract_y
_atom_site_fract_z
Ce1 Ce 0.1539 0.4919 0.0000
Ce2 Ce 0.1734 0.1734 0.0000
Ce3 Ce 0.4919 0.1539 0.0000
Ce4 Ce 0.5081 0.8461 0.0000
Ce5 Ce 0.8266 0.8266 0.0000
Ce6 Ce 0.8461 0.5081 0.0000
Tl1 Tl 0.5000 0.5000 0.5000
In1 In 0.1662 0.8338 0.5000
In2 In 0.8338 0.1662 0.5000
```

Top 12 peaks for 5° ≤ 2θ ≤ 70°, in order of falling intensity:
2θ 33.32, rel. 100
2θ 34.53, rel. 96
2θ 34.91, rel. 73
2θ 49.64, rel. 36
2θ 60.03, rel. 25
2θ 69.76, rel. 23
2θ 61.14, rel. 17
2θ 62.16, rel. 14
2θ 69.96, rel. 11
2θ 60.83, rel. 10
2θ 48.41, rel. 10
2θ 59.32, rel. 10


Theoretical XRD peak list
Compound: Sr2Ag2Bi
Radiation: copper Kα
Structure: a crystal structure in Alexandria, relaxed with PBE
Peak positions follow from Bragg's law for the DFT cell and can differ from measured ones.

Structural model:
```
data_Sr2Ag2Bi
_cell_length_a 9.0710
_cell_length_b 9.0710
_cell_length_c 3.9376
_cell_angle_alpha 90.00
_cell_angle_beta 90.00
_cell_angle_gamma 90.00
_symmetry_space_group_name_H-M 'P 1'
_symmetry_Int_Tables_number 1
loop_
_symmetry_equiv_pos_as_xyz
'x,y,z'
loop_
_atom_site_label
_atom_site_type_symbol
_atom_site_fract_x
_atom_site_fract_y
_atom_site_fract_z
Sr1 Sr 0.1716 0.3284 0.0000
Sr2 Sr 0.3284 0.8284 0.0000
Sr3 Sr 0.6716 0.1716 0.0000
Sr4 Sr 0.8284 0.6716 0.0000
Ag1 Ag 0.1158 0.6158 0.5000
Ag2 Ag 0.3842 0.1158 0.5000
Ag3 Ag 0.6158 0.8842 0.5000
Ag4 Ag 0.8842 0.3842 0.5000
Bi1 Bi 0.0000 0.0000 0.0000
Bi2 Bi 0.5000 0.5000 0.0000
```

Top 12 peaks for 5° ≤ 2θ ≤ 70°, in order of falling intensity:
2θ 31.67, rel. 100
2θ 31.18, rel. 100
2θ 26.56, rel. 86
2θ 46.16, rel. 49
2θ 56.71, rel. 37
2θ 64.39, rel. 31
2θ 27.82, rel. 31
2θ 36.12, rel. 30
2θ 50.61, rel. 29
2θ 38.84, rel. 28
2θ 66.19, rel. 24
2θ 19.57, rel. 18